# Be7Br6
Theoretical PXRD pattern, copper Kα. Input: the PBE geometry in Alexandria.
Peak positions follow from Bragg's law for the DFT cell and can differ from measured ones.

Structural model:
```
data_Be7Br6
_cell_length_a 4.5131
_cell_length_b 4.5131
_cell_length_c 50.9375
_cell_angle_alpha 90.00
_cell_angle_beta 90.00
_cell_angle_gamma 120.00
_space_group_name_H-M_alt 'R -3 m'
_space_group_IT_number 166
_space_group_name_Hall '-R 3 2"'
loop_
_atom_site_label
_atom_site_fract_x
_atom_site_fract_y
_atom_site_fract_z
Be1 0.0000 0.0000 0.0000
Be2 0.0022 0.5011 0.5814
Br1 0.0000 0.0000 0.1320
Br2 0.0000 0.0000 0.3549
Br3 0.0000 0.0000 0.4336
```

Top 12 peaks for 2θ = 15–90°, by angle:
two_theta  I_rel  hkl
15.7  674  0 0 9
22.8  168  1 0 1
23.8  1000  1 0 4
28.8  615  1 0 10
32.4  290  1 0 13
33.7  685  0 1 14
40.0  617  1 1 0
43.2  276  1 1 9
47.0  177  0 2 4
47.2  283  0 1 23
53.2  207  2 0 14
68.6  166  1 2 14